LiEr2BiC: theoretical X-ray powder pattern (copper Kα), based on the PBE geometry in Alexandria.

Crystal structure
a = 4.852 Å, b = 4.852 Å, c = 4.442 Å
α = 90.00°, β = 90.00°, γ = 90.00°
Fractional coordinates of all 5 atoms:
Li: 0.000 0.000 0.000
Er: 0.000 0.500 0.500
Er: 0.500 0.000 0.500
Bi: 0.500 0.500 0.000
C: 0.000 0.000 0.500

Main lines, by intensity (2θ = 10–90°):
33.0°, 2.715 Å, I = 100
37.1°, 2.426 Å, I = 40
64.2°, 1.450 Å, I = 30
27.2°, 3.276 Å, I = 26
18.3°, 4.852 Å, I = 26
56.1°, 1.638 Å, I = 24

---

Nd2Er5Bi3C2: theoretical X-ray powder pattern (copper Kα), based on the PBE geometry in Alexandria.

Crystal structure
a = 13.570 Å, b = 13.570 Å, c = 13.570 Å
α = 159.47°, β = 159.47°, γ = 29.20°
Fractional coordinates of all 12 atoms:
Nd: 0.194 0.194 0.000
Nd: 0.806 0.806 0.000
Er: 0.000 0.000 0.000
Er: 0.092 0.592 0.500
Er: 0.408 0.908 0.500
Er: 0.592 0.092 0.500
Er: 0.908 0.408 0.500
Bi: 0.321 0.321 0.000
Bi: 0.500 0.500 0.000
Bi: 0.679 0.679 0.000
C: 0.092 0.092 0.000
C: 0.908 0.908 0.000

Main lines, by intensity (2θ = 10–90°):
33.2°, 2.695 Å, I = 100
37.2°, 2.418 Å, I = 51
29.4°, 3.033 Å, I = 35
64.5°, 1.444 Å, I = 30
51.4°, 1.779 Å, I = 23
34.1°, 2.626 Å, I = 18

---

ErTm3Bi2C: theoretical X-ray powder pattern (copper Kα), based on the PBE geometry in Alexandria.

Crystal structure
a = 8.596 Å, b = 8.596 Å, c = 8.596 Å
α = 147.69°, β = 147.51°, γ = 46.48°
Fractional coordinates of all 7 atoms:
Er: 0.000 0.000 0.000
Tm: 0.349 0.849 0.500
Tm: 0.500 0.500 0.000
Tm: 0.651 0.151 0.500
Bi: 0.146 0.646 0.500
Bi: 0.854 0.354 0.500
C: 0.500 0.000 0.500

Main lines, by intensity (2θ = 10–90°):
34.9°, 2.573 Å, I = 100
28.6°, 3.116 Å, I = 54
37.4°, 2.405 Å, I = 28
37.6°, 2.392 Å, I = 27
34.1°, 2.633 Å, I = 25
26.3°, 3.392 Å, I = 21

---

Y3ErBi2C: theoretical X-ray powder pattern (copper Kα), based on the PBE geometry in Alexandria.

Crystal structure
a = 8.712 Å, b = 8.712 Å, c = 8.712 Å
α = 147.91°, β = 147.61°, γ = 46.24°
Fractional coordinates of all 7 atoms:
Y: 0.000 0.000 0.000
Y: 0.346 0.846 0.500
Y: 0.654 0.154 0.500
Er: 0.500 0.500 0.000
Bi: 0.144 0.644 0.500
Bi: 0.856 0.356 0.500
C: 0.500 0.000 0.500

Main lines, by intensity (2θ = 10–90°):
34.5°, 2.601 Å, I = 100
28.4°, 3.146 Å, I = 49
37.0°, 2.430 Å, I = 27
33.5°, 2.671 Å, I = 27
37.3°, 2.408 Å, I = 27
26.0°, 3.421 Å, I = 22

---

Tb4GeBiC: theoretical X-ray powder pattern (copper Kα), based on the PBE geometry in Alexandria.

Crystal structure
a = 8.525 Å, b = 8.525 Å, c = 6.814 Å
α = 90.00°, β = 90.00°, γ = 133.00°
Fractional coordinates of all 14 atoms:
Tb: 0.000 0.500 0.000
Tb: 0.000 0.500 0.500
Tb: 0.084 0.916 0.750
Tb: 0.405 0.595 0.750
Tb: 0.500 0.000 0.000
Tb: 0.500 0.000 0.500
Tb: 0.595 0.405 0.250
Tb: 0.916 0.084 0.250
Ge: 0.114 0.886 0.250
Ge: 0.886 0.114 0.750
Bi: 0.395 0.605 0.250
Bi: 0.605 0.395 0.750
C: 0.246 0.754 0.750
C: 0.754 0.246 0.250

Main lines, by intensity (2θ = 10–90°):
35.0°, 2.567 Å, I = 100
28.6°, 3.120 Å, I = 75
37.4°, 2.406 Å, I = 64
51.7°, 1.768 Å, I = 37
65.9°, 1.418 Å, I = 32
34.4°, 2.606 Å, I = 29

---

Hf6Bi2C: theoretical X-ray powder pattern (copper Kα), based on the PBE geometry in Alexandria.

Crystal structure
a = 5.966 Å, b = 6.730 Å, c = 10.998 Å
α = 90.00°, β = 119.86°, γ = 90.00°
Fractional coordinates of all 18 atoms:
Hf: 0.111 0.015 0.236
Hf: 0.111 0.485 0.736
Hf: 0.178 0.696 0.021
Hf: 0.178 0.804 0.521
Hf: 0.356 0.187 0.021
Hf: 0.356 0.313 0.521
Hf: 0.644 0.687 0.479
Hf: 0.644 0.813 0.979
Hf: 0.822 0.196 0.479
Hf: 0.822 0.304 0.979
Hf: 0.889 0.515 0.264
Hf: 0.889 0.985 0.764
Bi: 0.354 0.097 0.752
Bi: 0.354 0.403 0.252
Bi: 0.646 0.597 0.748
Bi: 0.646 0.903 0.248
C: 0.000 0.000 0.000
C: 0.000 0.500 0.500

Main lines, by intensity (2θ = 10–90°):
32.6°, 2.749 Å, I = 100
37.7°, 2.385 Å, I = 64
34.7°, 2.587 Å, I = 49
33.8°, 2.652 Å, I = 45
37.2°, 2.415 Å, I = 43
36.4°, 2.469 Å, I = 40

---

Hf3Zr2Bi2C2: theoretical X-ray powder pattern (copper Kα), based on the PBE geometry in Alexandria.

Crystal structure
a = 10.580 Å, b = 10.580 Å, c = 10.580 Å
α = 156.74°, β = 156.74°, γ = 33.12°
Fractional coordinates of all 9 atoms:
Hf: 0.000 0.000 0.000
Hf: 0.250 0.750 0.500
Hf: 0.750 0.250 0.500
Zr: 0.432 0.432 0.000
Zr: 0.568 0.568 0.000
Bi: 0.145 0.145 0.000
Bi: 0.855 0.855 0.000
C: 0.000 0.500 0.500
C: 0.500 0.000 0.500

Main lines, by intensity (2θ = 10–90°):
37.5°, 2.397 Å, I = 100
42.4°, 2.132 Å, I = 79
30.9°, 2.891 Å, I = 77
34.6°, 2.592 Å, I = 72
57.9°, 1.593 Å, I = 57
40.1°, 2.250 Å, I = 56

---

Ho6Bi3C2: theoretical X-ray powder pattern (copper Kα), based on the PBE geometry in Alexandria.

Crystal structure
a = 13.198 Å, b = 13.198 Å, c = 13.198 Å
α = 159.20°, β = 159.20°, γ = 29.58°
Fractional coordinates of all 11 atoms:
Ho: 0.085 0.585 0.500
Ho: 0.190 0.190 0.000
Ho: 0.415 0.915 0.500
Ho: 0.585 0.085 0.500
Ho: 0.810 0.810 0.000
Ho: 0.915 0.415 0.500
Bi: 0.319 0.319 0.000
Bi: 0.500 0.500 0.000
Bi: 0.681 0.681 0.000
C: 0.102 0.102 0.000
C: 0.898 0.898 0.000

Main lines, by intensity (2θ = 10–90°):
33.9°, 2.641 Å, I = 100
37.8°, 2.382 Å, I = 50
27.4°, 3.257 Å, I = 33
65.8°, 1.420 Å, I = 30
54.5°, 1.684 Å, I = 18
30.0°, 2.979 Å, I = 18

---

Ho3BiC2: theoretical X-ray powder pattern (copper Kα), based on the PBE geometry in Alexandria.

Crystal structure
a = 6.498 Å, b = 3.652 Å, c = 11.111 Å
α = 90.00°, β = 102.03°, γ = 90.00°
Fractional coordinates of all 12 atoms:
Ho: 0.037 0.250 0.371
Ho: 0.200 0.750 0.084
Ho: 0.447 0.250 0.610
Ho: 0.553 0.750 0.390
Ho: 0.800 0.250 0.916
Ho: 0.963 0.750 0.629
Bi: 0.264 0.250 0.848
Bi: 0.736 0.750 0.152
C: 0.013 0.250 0.140
C: 0.252 0.750 0.492
C: 0.748 0.250 0.508
C: 0.987 0.750 0.860

Main lines, by intensity (2θ = 10–90°):
30.9°, 2.892 Å, I = 100
34.2°, 2.620 Å, I = 92
33.0°, 2.716 Å, I = 85
33.4°, 2.682 Å, I = 83
29.5°, 3.031 Å, I = 66
28.5°, 3.128 Å, I = 53

---

Ho4BiPbC: theoretical X-ray powder pattern (copper Kα), based on the PBE geometry in Alexandria.

Crystal structure
a = 8.670 Å, b = 8.670 Å, c = 6.826 Å
α = 90.00°, β = 90.00°, γ = 133.61°
Fractional coordinates of all 14 atoms:
Ho: 0.000 0.500 0.000
Ho: 0.000 0.500 0.500
Ho: 0.095 0.905 0.750
Ho: 0.403 0.597 0.750
Ho: 0.500 0.000 0.000
Ho: 0.500 0.000 0.500
Ho: 0.597 0.403 0.250
Ho: 0.905 0.095 0.250
Bi: 0.395 0.605 0.250
Bi: 0.605 0.395 0.750
Pb: 0.106 0.894 0.250
Pb: 0.894 0.106 0.750
C: 0.250 0.750 0.750
C: 0.750 0.250 0.250

Main lines, by intensity (2θ = 10–90°):
34.6°, 2.592 Å, I = 100
37.2°, 2.414 Å, I = 56
28.4°, 3.138 Å, I = 55
51.1°, 1.786 Å, I = 33
65.5°, 1.426 Å, I = 32
33.7°, 2.657 Å, I = 27

---

Copy entry 4 word for word.
Y3ErBi2C: theoretical X-ray powder pattern (copper Kα), based on the PBE geometry in Alexandria.

Crystal structure
a = 8.712 Å, b = 8.712 Å, c = 8.712 Å
α = 147.91°, β = 147.61°, γ = 46.24°
Fractional coordinates of all 7 atoms:
Y: 0.000 0.000 0.000
Y: 0.346 0.846 0.500
Y: 0.654 0.154 0.500
Er: 0.500 0.500 0.000
Bi: 0.144 0.644 0.500
Bi: 0.856 0.356 0.500
C: 0.500 0.000 0.500

Main lines, by intensity (2θ = 10–90°):
34.5°, 2.601 Å, I = 100
28.4°, 3.146 Å, I = 49
37.0°, 2.430 Å, I = 27
33.5°, 2.671 Å, I = 27
37.3°, 2.408 Å, I = 27
26.0°, 3.421 Å, I = 22